Entry 1:
Structure and theoretical powder diffraction line list of Cs2AcZr2O7 (a GGA-PBE-relaxed structure; λ = 1.5418 Å (Cu Kα)).
Kinematic intensities with the Lorentz-polarization factor, no thermal factor.

Atomic structure:
```
data_Cs2AcZr2O7
_chemical_formula_sum 'Cs4 Ac2 Zr4 O14'
_cell_length_a 4.198
_cell_length_b 4.198
_cell_length_c 24.760
_cell_angle_alpha 90.00
_cell_angle_beta 90.00
_cell_angle_gamma 90.00
_symmetry_space_group_name_H-M 'I 4/m m m'
_symmetry_Int_Tables_number 139
_symmetry_space_group_name_Hall '-I 4 2'
loop_
_atom_site_label
_atom_site_type_symbol
_atom_site_fract_x
_atom_site_fract_y
_atom_site_fract_z
Cs1 Cs 0.000 0.000 0.193
Ac1 Ac 0.000 0.000 0.000
Zr1 Zr 0.000 0.000 0.410
O1 O 0.000 0.000 0.330
O2 O 0.000 0.000 0.500
O3 O 0.000 0.500 0.073
```

Peak list (12 most intense, 10° ≤ 2θ ≤ 90°, sorted by position)
two_theta	I_rel	h k l
21.49	10	0 0 6
27.86	100	1 0 5
30.11	46	1 1 0
36.28	12	0 0 10
37.32	11	1 1 6
43.10	24	2 0 0
47.84	23	1 1 10
52.10	36	2 1 5
57.57	13	2 0 10
60.25	9	1 0 15
82.44	9	3 1 10
85.72	9	3 2 5

Entry 2:
Structure and theoretical powder diffraction line list of Pr3Np (a GGA-PBE-relaxed structure; λ = 1.5418 Å (Cu Kα)).
Kinematic intensities with the Lorentz-polarization factor, no thermal factor.

Atomic structure:
```
data_Pr3Np
_chemical_formula_sum 'Pr3 Np1'
_cell_length_a 5.111
_cell_length_b 5.111
_cell_length_c 5.111
_cell_angle_alpha 90.00
_cell_angle_beta 90.00
_cell_angle_gamma 90.00
_symmetry_space_group_name_H-M 'P m -3 m'
_symmetry_Int_Tables_number 221
_symmetry_space_group_name_Hall '-P 4 2 3'
loop_
_atom_site_label
_atom_site_type_symbol
_atom_site_fract_x
_atom_site_fract_y
_atom_site_fract_z
Pr1 Pr 0.000 0.000 0.500
Np1 Np 0.500 0.500 0.500
```

Peak list (12 most intense, 10° ≤ 2θ ≤ 90°, sorted by position)
two_theta	I_rel	h k l
17.35	5	1 0 0
24.63	4	1 1 0
30.29	100	1 1 1
35.12	51	2 0 0
39.42	3	2 1 0
43.37	2	2 1 1
50.51	37	2 2 0
60.03	44	3 1 1
63.00	13	2 2 2
74.22	6	4 0 0
82.21	18	3 3 1
84.84	17	4 2 0

Entry 3:
Structure and theoretical powder diffraction line list of Sb2Te5P2 (a GGA-PBE-relaxed structure; λ = 1.5418 Å (Cu Kα)).
Kinematic intensities with the Lorentz-polarization factor, no thermal factor.

Atomic structure:
```
data_Sb2Te5P2
_chemical_formula_sum 'Sb2 Te5 P2'
_cell_length_a 4.3314
_cell_length_b 4.3314
_cell_length_c 15.7973
_cell_angle_alpha 90.00
_cell_angle_beta 90.00
_cell_angle_gamma 120.00
_symmetry_space_group_name_H-M 'P -3 m 1'
_symmetry_Int_Tables_number 164
_symmetry_space_group_name_Hall '-P 3 2"'
loop_
_atom_site_label
_atom_site_type_symbol
_atom_site_fract_x
_atom_site_fract_y
_atom_site_fract_z
Sb1 Sb 0.3333 0.6667 0.1245
Te1 Te 0.0000 0.0000 0.0000
Te2 Te 0.3333 0.6667 0.4285
Te3 Te 0.3333 0.6667 0.7651
P1 P 0.0000 0.0000 0.3504
```

Peak list (12 most intense, 10° ≤ 2θ ≤ 90°, sorted by position)
two_theta	I_rel	h k l
23.72	6	1 0 0
26.30	7	0 1 2
29.23	100	0 1 3
32.93	5	1 0 4
41.71	37	1 1 0
41.92	28	1 0 6
51.74	20	2 0 3
60.62	9	0 2 6
68.54	17	1 2 3
68.85	9	1 1 9
76.13	6	3 0 0
76.28	10	2 1 6

Entry 4:
Structure and theoretical powder diffraction line list of AgBi4Te7 (a GGA-PBE-relaxed structure; λ = 1.5418 Å (Cu Kα)).
Kinematic intensities with the Lorentz-polarization factor, no thermal factor.

Atomic structure:
```
data_AgBi4Te7
_chemical_formula_sum 'Ag1 Bi4 Te7'
_cell_length_a 4.4071
_cell_length_b 4.4071
_cell_length_c 24.2251
_cell_angle_alpha 90.00
_cell_angle_beta 90.00
_cell_angle_gamma 120.00
_symmetry_space_group_name_H-M 'P -3 m 1'
_symmetry_Int_Tables_number 164
_symmetry_space_group_name_Hall '-P 3 2"'
loop_
_atom_site_label
_atom_site_type_symbol
_atom_site_fract_x
_atom_site_fract_y
_atom_site_fract_z
Ag1 Ag 0.0000 0.0000 0.0000
Bi1 Bi 0.3333 0.6667 0.1481
Bi2 Bi 0.3333 0.6667 0.4145
Te1 Te 0.0000 0.0000 0.2212
Te2 Te 0.0000 0.0000 0.5000
Te3 Te 0.3333 0.6667 0.6578
Te4 Te 0.3333 0.6667 0.9353
```

Peak list (12 most intense, 10° ≤ 2θ ≤ 90°, sorted by position)
two_theta	I_rel	h k l
27.63	100	1 0 4
32.28	9	1 0 6
35.00	10	0 1 7
37.93	30	0 1 8
40.96	48	1 1 0
44.29	9	0 1 10
50.12	20	0 2 4
57.04	10	2 0 8
59.33	9	1 1 11
62.41	9	1 0 15
66.65	17	2 1 4
72.59	10	1 2 8

Entry 5:
Structure and theoretical powder diffraction line list of Ce4PrSn4 (a GGA-PBE-relaxed structure; λ = 1.5418 Å (Cu Kα)).
Kinematic intensities with the Lorentz-polarization factor, no thermal factor.

Atomic structure:
```
data_Ce4PrSn4
_chemical_formula_sum 'Ce8 Pr2 Sn8'
_cell_length_a 9.275
_cell_length_b 9.275
_cell_length_c 6.545
_cell_angle_alpha 90.00
_cell_angle_beta 90.00
_cell_angle_gamma 90.00
_symmetry_space_group_name_H-M 'P 42/n'
_symmetry_Int_Tables_number 86
loop_
_symmetry_equiv_pos_as_xyz
'x,y,z'
'-x,-y,-z'
'-y,x+1/2,z+1/2'
'y,-x+1/2,-z+1/2'
'-x+1/2,-y+1/2,z'
'x+1/2,y+1/2,-z'
'y+1/2,-x,z+1/2'
'-y+1/2,x,-z+1/2'
loop_
_atom_site_label
_atom_site_type_symbol
_atom_site_fract_x
_atom_site_fract_y
_atom_site_fract_z
Ce1 Ce 0.025 0.636 0.092
Pr1 Pr 0.250 0.250 0.250
Sn1 Sn 0.043 0.644 0.588
```

Peak list (12 most intense, 10° ≤ 2θ ≤ 90°, sorted by position)
two_theta	I_rel	h k l
19.14	13	2 0 0
28.93	33	1 0 2
30.48	100	1 3 0
34.92	39	1 2 2
40.12	17	3 0 2
41.33	12	3 1 2
43.64	32	4 2 0
44.81	30	3 2 2
49.14	12	4 1 2
60.80	17	2 5 2
67.83	19	6 1 2
71.20	13	4 5 2

Entry 6:
Structure and theoretical powder diffraction line list of Pm4TlRh (a GGA-PBE-relaxed structure; λ = 1.5418 Å (Cu Kα)).
Kinematic intensities with the Lorentz-polarization factor, no thermal factor.

Atomic structure:
```
data_Pm4TlRh
_chemical_formula_sum 'Pm16 Tl4 Rh4'
_cell_length_a 9.008
_cell_length_b 14.106
_cell_length_c 6.154
_cell_angle_alpha 90.00
_cell_angle_beta 114.84
_cell_angle_gamma 90.00
_symmetry_space_group_name_H-M 'C 1 2/c 1'
_symmetry_Int_Tables_number 15
loop_
_symmetry_equiv_pos_as_xyz
'x,y,z'
'-x,-y,-z'
'-x,y,-z+1/2'
'x,-y,z+1/2'
'x+1/2,y+1/2,z'
'-x+1/2,-y+1/2,-z'
'-x+1/2,y+1/2,-z+1/2'
'x+1/2,-y+1/2,z+1/2'
loop_
_atom_site_label
_atom_site_type_symbol
_atom_site_fract_x
_atom_site_fract_y
_atom_site_fract_z
Pm1 Pm 0.115 0.182 0.075
Pm2 Pm 0.225 0.430 0.339
Tl1 Tl 0.000 0.378 0.750
Rh1 Rh 0.000 0.001 0.250
```

Peak list (12 most intense, 10° ≤ 2θ ≤ 90°, sorted by position)
two_theta	I_rel	h k l
29.72	35	1 3 1
29.83	50	1 1 -2
29.97	39	0 4 1
30.52	74	3 1 -1
32.97	46	2 4 -1
33.60	49	1 5 0
34.59	100	2 2 1
34.94	39	1 3 -2
35.57	24	3 3 -1
38.17	29	3 3 0
40.10	23	3 3 -2
52.34	21	4 2 -3

Entry 7:
Structure and theoretical powder diffraction line list of Na2CeNdO4 (a GGA-PBE-relaxed structure; λ = 1.5418 Å (Cu Kα)).
Kinematic intensities with the Lorentz-polarization factor, no thermal factor.

Atomic structure:
```
data_Na2CeNdO4
_chemical_formula_sum 'Na2 Ce1 Nd1 O4'
_cell_length_a 6.008
_cell_length_b 3.590
_cell_length_c 6.213
_cell_angle_alpha 90.00
_cell_angle_beta 110.16
_cell_angle_gamma 90.00
_symmetry_space_group_name_H-M 'P 1 2/m 1'
_symmetry_Int_Tables_number 10
loop_
_symmetry_equiv_pos_as_xyz
'x,y,z'
'-x,-y,-z'
'-x,y,-z'
'x,-y,z'
loop_
_atom_site_label
_atom_site_type_symbol
_atom_site_fract_x
_atom_site_fract_y
_atom_site_fract_z
Na1 Na 0.000 0.000 0.000
Na2 Na 0.000 0.500 0.500
Ce1 Ce 0.500 0.000 0.500
Nd1 Nd 0.500 0.500 0.000
O1 O 0.283 0.000 0.759
O2 O 0.283 0.500 0.263
```

Peak list (12 most intense, 10° ≤ 2θ ≤ 90°, sorted by position)
two_theta	I_rel	h k l
15.71	100	1 0 0
29.22	57	0 1 1
30.65	68	0 0 2
31.73	21	2 0 0
35.85	100	1 1 1
39.36	22	1 0 2
47.66	20	2 1 1
50.89	35	0 2 0
52.32	31	2 0 2
53.60	25	1 2 0
61.22	21	2 2 0
63.81	17	0 0 4

Entry 8:
Structure and theoretical powder diffraction line list of K2Cd7 (a GGA-PBE-relaxed structure; λ = 1.5418 Å (Cu Kα)).
Kinematic intensities with the Lorentz-polarization factor, no thermal factor.

Atomic structure:
```
data_K2Cd7
_chemical_formula_sum 'K12 Cd42'
_cell_length_a 6.2754
_cell_length_b 6.2754
_cell_length_c 44.9565
_cell_angle_alpha 90.00
_cell_angle_beta 90.00
_cell_angle_gamma 120.00
_symmetry_space_group_name_H-M 'R -3 m'
_symmetry_Int_Tables_number 166
_symmetry_space_group_name_Hall '-R 3 2"'
loop_
_atom_site_label
_atom_site_type_symbol
_atom_site_fract_x
_atom_site_fract_y
_atom_site_fract_z
K1 K 0.0000 0.0000 0.0535
K2 K 0.0000 0.0000 0.1516
Cd1 Cd 0.0000 0.0000 0.2790
Cd2 Cd 0.0000 0.0000 0.3878
Cd3 Cd 0.0000 0.0000 0.5000
Cd4 Cd 0.0000 0.5000 0.0000
Cd5 Cd 0.0018 0.5009 0.8899
```

Peak list (12 most intense, 10° ≤ 2θ ≤ 90°, sorted by position)
two_theta	I_rel	h k l
16.43	63	1 0 1
33.03	21	0 2 1
33.73	100	1 1 9
35.94	46	0 0 18
36.74	45	2 0 8
37.83	11	0 1 17
38.72	36	0 2 10
53.83	25	3 0 9
58.86	26	2 2 0
63.22	11	1 1 27
70.94	28	2 2 18
83.84	14	1 4 9

Entry 9:
Structure and theoretical powder diffraction line list of Ac4La3Nd5 (a GGA-PBE-relaxed structure; λ = 1.5418 Å (Cu Kα)).
Kinematic intensities with the Lorentz-polarization factor, no thermal factor.

Atomic structure:
```
data_Ac4La3Nd5
_chemical_formula_sum 'Ac8 La6 Nd10'
_cell_length_a 17.049
_cell_length_b 6.339
_cell_length_c 9.951
_cell_angle_alpha 90.00
_cell_angle_beta 117.82
_cell_angle_gamma 90.00
_symmetry_space_group_name_H-M 'C 1 2/m 1'
_symmetry_Int_Tables_number 12
loop_
_symmetry_equiv_pos_as_xyz
'x,y,z'
'-x,-y,-z'
'-x,y,-z'
'x,-y,z'
'x+1/2,y+1/2,z'
'-x+1/2,-y+1/2,-z'
'-x+1/2,y+1/2,-z'
'x+1/2,-y+1/2,z'
loop_
_atom_site_label
_atom_site_type_symbol
_atom_site_fract_x
_atom_site_fract_y
_atom_site_fract_z
Ac1 Ac 0.081 0.000 0.430
Ac2 Ac 0.215 0.000 0.873
La1 La 0.000 0.000 0.000
La2 La 0.169 0.500 0.389
Nd1 Nd 0.000 0.500 0.000
Nd2 Nd 0.074 0.500 0.697
Nd3 Nd 0.210 0.000 0.227
```

Peak list (12 most intense, 10° ≤ 2θ ≤ 90°, sorted by position)
two_theta	I_rel	h k l
26.99	35	2 0 -3
27.49	26	1 1 2
27.84	28	2 0 2
28.00	44	3 1 1
28.16	100	0 2 0
29.98	50	5 1 -1
30.46	81	5 1 -2
30.63	46	3 1 -3
31.55	45	1 1 -3
39.39	26	2 2 -3
51.43	25	1 1 -5
55.92	24	6 2 -5

Entry 10:
Structure and theoretical powder diffraction line list of Sr3MgRh3 (a GGA-PBE-relaxed structure; λ = 1.5418 Å (Cu Kα)).
Kinematic intensities with the Lorentz-polarization factor, no thermal factor.

Atomic structure:
```
data_Sr3MgRh3
_chemical_formula_sum 'Sr12 Mg4 Rh12'
_cell_length_a 4.442
_cell_length_b 11.168
_cell_length_c 14.143
_cell_angle_alpha 90.00
_cell_angle_beta 90.00
_cell_angle_gamma 90.00
_symmetry_space_group_name_H-M 'C m c m'
_symmetry_Int_Tables_number 63
_symmetry_space_group_name_Hall '-C 2c 2'
loop_
_atom_site_label
_atom_site_type_symbol
_atom_site_fract_x
_atom_site_fract_y
_atom_site_fract_z
Sr1 Sr 0.000 0.003 0.250
Sr2 Sr 0.000 0.284 0.108
Mg1 Mg 0.000 0.000 0.000
Rh1 Rh 0.000 0.305 0.750
Rh2 Rh 0.000 0.428 0.589
```

Peak list (12 most intense, 10° ≤ 2θ ≤ 90°, sorted by position)
two_theta	I_rel	h k l
17.07	30	0 2 1
21.53	30	1 1 0
28.75	33	1 1 3
31.35	36	1 3 0
32.02	29	0 4 0
33.37	46	1 1 4
36.82	100	1 3 3
37.44	56	0 4 3
38.18	34	0 0 6
40.63	55	2 0 0
56.43	34	2 4 3
61.77	35	1 7 0